Record 1
NdY2ErSe6: calculated X-ray powder pattern (λ = 1.5418 Å (Cu Kα)), based on the PBE geometry in Alexandria.
Kinematic intensities with the Lorentz-polarization factor, no thermal factor.

Structure:
Lattice parameters (Å, degrees): 7.2655 7.2655 19.5161 90.00 90.00 120.00
Space group R3 (No. 146, hexagonal axes)
Unique sites:
Nd 0.0000 0.0000 0.0000 (multiplicity 3)
Y 0.0000 0.0000 0.1986 (multiplicity 3)
Y 0.0000 0.0000 0.7021 (multiplicity 3)
Er 0.0000 0.0000 0.5052 (multiplicity 3)
Se 0.0017 0.3097 0.1037 (multiplicity 9)
Se 0.0429 0.6818 0.2693 (multiplicity 9)

Most intense lines, 2θ from 5° to 70°, by angle:
| 2theta | I_rel | (hkl) |
| --- | --- | --- |
| 16.8 | 51 | 0 1 2 |
| 23.1 | 50 | 1 0 4 |
| 24.5 | 25 | 1 1 0 |
| 28.1 | 82 | 1 1 3 |
| 33.9 | 36 | 0 2 4 |
| 37.1 | 100 | 1 1 6 |
| 42.3 | 33 | 2 1 4 |
| 43.1 | 67 | 3 0 0 |
| 48.9 | 34 | 1 0 10 |
| 58.2 | 25 | 4 -2 6 |

---

Record 2
PaP2Ru3: calculated X-ray powder pattern (λ = 1.5418 Å (Cu Kα)), based on the PBE geometry in Alexandria.
Kinematic intensities with the Lorentz-polarization factor, no thermal factor.

Structure:
Lattice parameters (Å, degrees): 15.213 3.972 6.540 90.00 103.68 90.00
Space group C2/m (No. 12)
Unique sites:
Pa 0.114 0.000 0.192 (multiplicity 4)
P 0.022 0.500 0.760 (multiplicity 4)
P 0.232 0.000 0.743 (multiplicity 4)
Ru 0.077 0.000 0.668 (multiplicity 4)
Ru 0.179 0.500 0.495 (multiplicity 4)
Ru 0.184 0.500 0.913 (multiplicity 4)

Most intense lines, 2θ from 5° to 70°, by angle:
| 2theta | I_rel | (hkl) |
| --- | --- | --- |
| 23.2 | 16 | 1 1 0 |
| 24.1 | 19 | 4 0 0 |
| 26.4 | 11 | 1 1 -1 |
| 32.5 | 17 | 4 0 -2 |
| 33.2 | 14 | 2 0 2 |
| 35.8 | 11 | 6 0 -1 |
| 37.5 | 46 | 3 1 -2 |
| 37.9 | 100 | 5 1 0 |
| 45.7 | 23 | 0 2 0 |
| 52.1 | 12 | 6 0 2 |

---

Record 3
YTl2Cd: calculated X-ray powder pattern (λ = 1.5418 Å (Cu Kα)), based on the PBE geometry in Alexandria.
Kinematic intensities with the Lorentz-polarization factor, no thermal factor.

Structure:
Lattice parameters (Å, degrees): 4.752 4.752 4.574 90.00 90.00 90.00
Space group P4/mmm (No. 123)
Unique sites:
Y 0.000 0.000 0.000 (multiplicity 1)
Tl 0.000 0.500 0.500 (multiplicity 2)
Cd 0.500 0.500 0.000 (multiplicity 1)

Most intense lines, 2θ from 5° to 70°, by angle:
| 2theta | I_rel | (hkl) |
| --- | --- | --- |
| 19.4 | 9 | 0 0 1 |
| 26.5 | 9 | 1 1 0 |
| 33.1 | 100 | 1 1 1 |
| 37.9 | 35 | 2 0 0 |
| 39.4 | 16 | 0 0 2 |
| 54.6 | 12 | 2 2 0 |
| 55.8 | 23 | 2 0 2 |
| 65.4 | 28 | 3 1 1 |
| 67.5 | 13 | 1 1 3 |
| 69.4 | 12 | 2 2 2 |

---

Record 4
B7C5: calculated X-ray powder pattern (λ = 1.5418 Å (Cu Kα)), based on the PBE geometry in Alexandria.
Kinematic intensities with the Lorentz-polarization factor, no thermal factor.

Structure:
Lattice parameters (Å, degrees): 4.692 2.659 6.766 90.00 91.93 90.00
Space group Pm (No. 6)
Unique sites:
B 0.000 0.000 0.000 (multiplicity 1)
B 0.023 0.000 0.287 (multiplicity 1)
B 0.135 0.500 0.721 (multiplicity 1)
B 0.306 0.000 0.587 (multiplicity 1)
B 0.445 0.500 0.260 (multiplicity 1)
B 0.719 0.000 0.734 (multiplicity 1)
B 0.845 0.500 0.407 (multiplicity 1)
C 0.175 0.500 0.963 (multiplicity 1)
C 0.355 0.000 0.361 (multiplicity 1)
C 0.498 0.500 0.027 (multiplicity 1)
C 0.649 0.000 0.963 (multiplicity 1)
C 0.803 0.500 0.630 (multiplicity 1)

Most intense lines, 2θ from 5° to 70°, by angle:
| 2theta | I_rel | (hkl) |
| --- | --- | --- |
| 13.1 | 14 | 0 0 1 |
| 22.7 | 9 | 1 0 -1 |
| 23.4 | 23 | 1 0 1 |
| 26.4 | 7 | 0 0 2 |
| 40.0 | 47 | 0 0 3 |
| 41.0 | 100 | 1 1 -1 |
| 41.2 | 66 | 2 0 1 |
| 68.2 | 27 | 1 1 -4 |
| 69.7 | 9 | 2 0 4 |
| 69.8 | 25 | 3 1 0 |

---

Record 5
Rb3InBi2: calculated X-ray powder pattern (λ = 1.5418 Å (Cu Kα)), based on the PBE geometry in Alexandria.
Kinematic intensities with the Lorentz-polarization factor, no thermal factor.

Structure:
Lattice parameters (Å, degrees): 9.151 16.018 7.894 90.00 90.00 90.00
Space group Ibam (No. 72)
Unique sites:
Rb 0.000 0.000 0.250 (multiplicity 4)
Rb 0.187 0.324 0.000 (multiplicity 8)
In 0.000 0.500 0.250 (multiplicity 4)
Bi 0.192 0.405 0.500 (multiplicity 8)

Most intense lines, 2θ from 5° to 70°, by angle:
| 2theta | I_rel | (hkl) |
| --- | --- | --- |
| 11.1 | 100 | 0 2 0 |
| 18.5 | 51 | 1 2 1 |
| 22.5 | 23 | 0 0 2 |
| 26.8 | 72 | 1 4 1 |
| 28.1 | 32 | 2 3 1 |
| 29.6 | 35 | 2 4 0 |
| 29.8 | 25 | 3 1 0 |
| 29.9 | 64 | 2 0 2 |
| 31.8 | 42 | 0 4 2 |
| 37.7 | 29 | 3 1 2 |

---

Record 6
KHfMo2As: calculated X-ray powder pattern (λ = 1.5418 Å (Cu Kα)), based on the PBE geometry in Alexandria.
Kinematic intensities with the Lorentz-polarization factor, no thermal factor.

Structure:
Lattice parameters (Å, degrees): 4.847 4.847 5.689 90.00 90.00 90.00
Space group P4/mmm (No. 123)
Unique sites:
K 0.000 0.000 0.000 (multiplicity 1)
Hf 0.000 0.000 0.500 (multiplicity 1)
Mo 0.000 0.500 0.500 (multiplicity 2)
As 0.500 0.500 0.000 (multiplicity 1)

Most intense lines, 2θ from 5° to 70°, by angle:
| 2theta | I_rel | (hkl) |
| --- | --- | --- |
| 15.6 | 99 | 0 0 1 |
| 18.3 | 42 | 1 0 0 |
| 24.1 | 100 | 1 0 1 |
| 31.4 | 69 | 0 0 2 |
| 37.1 | 88 | 2 0 0 |
| 40.5 | 37 | 2 0 1 |
| 44.7 | 40 | 2 1 1 |
| 49.4 | 76 | 2 0 2 |
| 53.5 | 30 | 2 2 0 |
| 63.4 | 36 | 2 2 2 |